# 1
Computed X-ray diffraction stick pattern
Compound: NbTc2P2
Radiation: a wavelength of 1.5418 Å
Structure: the GGA-PBE geometry in Alexandria

Structure:
Cell: 6.947 6.947 2.920 Å, 90.00 90.00 90.00°
Space group P4/mbm (No. 127)
Inequivalent atoms, fractional coordinates:
Nb 0.000 0.000 0.000
Tc 0.143 0.357 0.500
P 0.156 0.656 0.000

Largest 8 diffraction maxima, low angle first, 5 to 70 degrees two-theta:
| 2theta | intensity | h k l |
| --- | --- | --- |
| 28.73 | 41 | 2 1 0 |
| 35.77 | 49 | 1 1 1 |
| 40.35 | 20 | 2 0 1 |
| 41.08 | 81 | 3 1 0 |
| 42.48 | 100 | 2 1 1 |
| 62.19 | 22 | 4 0 1 |
| 63.75 | 19 | 0 0 2 |
| 65.33 | 14 | 3 3 1 |

---

# 2
Computed X-ray diffraction stick pattern
Compound: La4TbSb5
Radiation: a wavelength of 1.5418 Å
Structure: the GGA-PBE geometry in Alexandria

Structure:
Cell: 10.245 10.245 6.489 Å, 90.00 90.00 90.00°
Space group I4/m (No. 87)
Inequivalent atoms, fractional coordinates:
La 0.098 0.300 0.000
Tb 0.000 0.000 0.500
Sb 0.000 0.000 0.000
Sb 0.098 0.294 0.500

Largest 7 diffraction maxima, low angle first, 5 to 70 degrees two-theta:
| 2theta | intensity | h k l |
| --- | --- | --- |
| 23.77 | 1 | 2 1 1 |
| 27.52 | 100 | 0 0 2 |
| 39.31 | 77 | 1 3 2 |
| 46.46 | 1 | 5 0 1 |
| 48.65 | 28 | 4 2 2 |
| 56.81 | 13 | 0 0 4 |
| 64.26 | 35 | 1 3 4 |